For BaGaNi, a GGA-PBE-relaxed structure gives the calculated powder XRD pattern in this record (Cu Kα (weighted mean of Kα1 and Kα2)).
Lines closer than 0.1° are merged.

```
BaGaNi
1.0
6.056 0.000 0.000
0.000 6.550 0.000
-0.629 0.000 8.526
Ba Ga Ni
4 4 4
direct
0.239 0.000 0.293 Ba
0.261 0.500 0.707 Ba
0.739 0.500 0.293 Ba
0.761 0.000 0.707 Ba
0.209 0.500 0.105 Ga
0.291 0.000 0.895 Ga
0.709 0.000 0.105 Ga
0.791 0.500 0.895 Ga
0.000 0.202 0.000 Ni
0.000 0.798 0.000 Ni
0.500 0.298 0.000 Ni
0.500 0.702 0.000 Ni
```

Top 8 peaks for 10 to 80 degrees two-theta, in order of rising 2θ:
(0 0 1), 10.38 deg, I = 100; (1 1 -1), 22.07 deg, I = 33; (0 2 0), 27.23 deg, I = 31; (1 1 -2), 28.23 deg, I = 41; (1 1 2), 29.83 deg, I = 44; (0 2 2), 34.54 deg, I = 32; (1 1 3), 38.53 deg, I = 38; (2 2 0), 40.64 deg, I = 56